# 1
Structure and computed powder XRD pattern of MnV5O12 (a cell relaxed with PBE+U; Cu Ka).
Kinematic intensities with the Lorentz-polarization factor, no thermal factor.

Most intense lines, 2θ = 15–90°, by intensity:
index	d/Å	Rel. int.
2 2 -1	3.217	100
3 1 0	3.015	62
0 2 0	4.631	48
0 0 2	2.755	43
1 1 -1	4.868	37
1 1 1	3.811	28
2 2 1	2.582	24
0 2 1	3.545	24
2 4 -1	2.056	23
2 2 -3	1.805	20

Crystal structure
Lattice parameters (Å, degrees): 10.216 9.261 5.884 90.00 110.56 90.00
Space group C2 (No. 5)
One atom of each set of equivalent atoms:
Mn  0.000  0.000  0.000 (multiplicity 2)
V  0.000  0.826  0.500 (multiplicity 2)
V  0.200  0.503  0.482 (multiplicity 4)
V  0.203  0.321  0.988 (multiplicity 4)
O  0.117  0.835  0.880 (multiplicity 4)
O  0.118  0.991  0.404 (multiplicity 4)
O  0.135  0.415  0.191 (multiplicity 4)
O  0.140  0.674  0.463 (multiplicity 4)
O  0.143  0.406  0.696 (multiplicity 4)
O  0.149  0.148  0.963 (multiplicity 4)


# 2
Structure and computed powder XRD pattern of Li4VCr3O8 (a cell relaxed with PBE+U; Cu Ka).
Kinematic intensities with the Lorentz-polarization factor, no thermal factor.

Most intense lines, 2θ = 15–90°, by intensity:
index	d/Å	Rel. int.
0 0 1	4.850	100
4 0 -2	2.105	83
4 0 -1	2.541	40
6 2 -1	1.488	22
2 2 -3	1.487	14
2 2 -2	1.931	12
4 0 0	2.432	11
2 2 2	1.620	9
6 2 0	1.423	9
0 4 0	1.492	8

Crystal structure
Lattice parameters (Å, degrees): 10.309 5.968 5.144 90.00 109.45 90.00
Space group C2/m (No. 12)
One atom of each set of equivalent atoms:
Li  0.000  0.248  0.000 (multiplicity 4)
Li  0.249  0.000  0.998 (multiplicity 4)
V  0.000  0.500  0.500 (multiplicity 2)
Cr  0.000  0.000  0.500 (multiplicity 2)
Cr  0.250  0.250  0.500 (multiplicity 4)
O  0.120  0.248  0.725 (multiplicity 8)
O  0.130  0.000  0.276 (multiplicity 4)
O  0.130  0.500  0.274 (multiplicity 4)